Entry 1:
Simulated XRD peak list
Compound: MgCdF4
Radiation: Cu Kα
Structure: a structure optimized by DFT (PBE)
Intensities are scaled so that the largest is 100.

Peak list (10 most intense, 10 to 90 degrees two-theta, low angle first)
- hkl 1 0 0, 16.12 deg, d = 5.498 Å, I = 36
- hkl 0 1 1, 23.41 deg, d = 3.800 Å, I = 55
- hkl 1 1 1, 28.56 deg, d = 3.126 Å, I = 100
- hkl 1 0 2, 34.77 deg, d = 2.580 Å, I = 18
- hkl 2 1 1, 40.50 deg, d = 2.227 Å, I = 26
- hkl 2 2 0, 49.26 deg, d = 1.850 Å, I = 19
- hkl 0 1 3, 50.27 deg, d = 1.815 Å, I = 14
- hkl 1 2 2, 50.85 deg, d = 1.796 Å, I = 28
- hkl 3 1 1, 55.69 deg, d = 1.651 Å, I = 17
- hkl 1 3 1, 60.11 deg, d = 1.539 Å, I = 13

Structure:
Cell lengths 5.498, 5.002, 5.843 Å; angles 90.00, 90.00, 90.00 degrees
Positions (direct):
Mg 0.000 0.000 0.000
Mg 0.000 0.500 0.500
Cd 0.500 0.000 0.660
Cd 0.500 0.500 0.160
F 0.146 0.243 0.734
F 0.146 0.257 0.234
F 0.307 0.700 0.459
F 0.307 0.800 0.959
F 0.693 0.200 0.959
F 0.693 0.300 0.459
F 0.854 0.743 0.234
F 0.854 0.757 0.734


Entry 2:
Simulated XRD peak list
Compound: RbMgCd2F8
Radiation: Cu Kα
Structure: a structure optimized by DFT (PBE)
Intensities are scaled so that the largest is 100.

Peak list (10 most intense, 10 to 90 degrees two-theta, low angle first)
- hkl 0 1 0, 17.23 deg, d = 5.147 Å, I = 28
- hkl 1 1 0, 24.70 deg, d = 3.605 Å, I = 100
- hkl 1 -1 0, 25.51 deg, d = 3.491 Å, I = 71
- hkl 0 1 2, 29.21 deg, d = 3.058 Å, I = 54
- hkl 1 0 -2, 29.76 deg, d = 3.002 Å, I = 83
- hkl 0 2 0, 34.86 deg, d = 2.574 Å, I = 27
- hkl 1 2 2, 46.00 deg, d = 1.973 Å, I = 27
- hkl 1 -2 2, 46.95 deg, d = 1.935 Å, I = 27
- hkl 2 1 2, 47.13 deg, d = 1.928 Å, I = 36
- hkl 2 -1 2, 48.07 deg, d = 1.893 Å, I = 38

Structure:
Cell lengths 4.896, 5.150, 7.602 Å; angles 89.97, 89.93, 88.16 degrees
Positions (direct):
Rb 0.000 0.000 0.000
Mg 0.000 0.000 0.500
Cd 0.500 0.500 0.278
Cd 0.500 0.500 0.722
F 0.223 0.832 0.694
F 0.224 0.833 0.306
F 0.260 0.309 0.500
F 0.269 0.464 0.000
F 0.731 0.536 0.000
F 0.740 0.691 0.500
F 0.776 0.167 0.694
F 0.777 0.168 0.306


Entry 3:
Simulated XRD peak list
Compound: SrMgCd2F8
Radiation: Cu Kα
Structure: a structure optimized by DFT (PBE)
Intensities are scaled so that the largest is 100.

Peak list (10 most intense, 10 to 90 degrees two-theta, low angle first)
- hkl 1 0 -1, 25.57 deg, d = 3.484 Å, I = 94
- hkl 1 0 1, 25.70 deg, d = 3.467 Å, I = 87
- hkl 0 2 1, 29.83 deg, d = 2.996 Å, I = 100
- hkl 1 2 0, 31.51 deg, d = 2.839 Å, I = 46
- hkl 1 2 -1, 35.78 deg, d = 2.510 Å, I = 31
- hkl 2 0 0, 39.36 deg, d = 2.289 Å, I = 26
- hkl 1 2 -2, 46.63 deg, d = 1.948 Å, I = 48
- hkl 1 2 2, 46.78 deg, d = 1.942 Å, I = 54
- hkl 2 2 1, 50.23 deg, d = 1.816 Å, I = 25
- hkl 1 4 1, 57.42 deg, d = 1.605 Å, I = 32

Structure:
Cell lengths 4.578, 7.238, 5.339 Å; angles 90.00, 90.28, 90.00 degrees
Positions (direct):
Sr 0.000 0.000 0.000
Mg 0.000 0.500 0.000
Cd 0.500 0.266 0.500
Cd 0.500 0.734 0.500
F 0.135 0.285 0.222
F 0.135 0.715 0.222
F 0.338 0.500 0.751
F 0.420 0.000 0.734
F 0.580 0.000 0.266
F 0.662 0.500 0.249
F 0.865 0.285 0.778
F 0.865 0.715 0.778